Record 1
For LiSnAu, DFT lattice parameters and positions (GGA-PBE) gives the computed PXRD pattern in this record (Cu Kα, 1.54184 Å).
Kinematic intensities with the Lorentz-polarization factor, no thermal factor.

Atomic structure:
```
data_LiSnAu
_space_group_name_H-M_alt 'P 63/m m c'
_space_group_IT_number 194
_space_group_name_Hall '-P 6c 2c'
_cell_length_a 4.7535
_cell_length_b 4.7535
_cell_length_c 6.1353
_cell_angle_alpha 90.00
_cell_angle_beta 90.00
_cell_angle_gamma 120.00
loop_
_atom_site_label
_atom_site_type_symbol
_atom_site_fract_x
_atom_site_fract_y
_atom_site_fract_z
Li1 Li 0.0000 0.0000 0.0000
Sn1 Sn 0.3333 0.6667 0.2500
Au1 Au 0.3333 0.6667 0.7500
```

Largest 8 diffraction maxima, in order of falling intensity, 2θ = 15–90°:
2θ/deg, I/Imax
37.9, 100
48.4, 94
21.6, 92
29.1, 62
36.5, 57
73.5, 30
76.0, 26
26.1, 21

=====

Record 2
For LiSnAu2, DFT lattice parameters and positions (GGA-PBE) gives the computed PXRD pattern in this record (Cu Kα, 1.54184 Å).
Kinematic intensities with the Lorentz-polarization factor, no thermal factor.

Atomic structure:
```
data_LiSnAu2
_space_group_name_H-M_alt 'F m -3 m'
_space_group_IT_number 225
_space_group_name_Hall '-F 4 2 3'
_cell_length_a 6.710
_cell_length_b 6.710
_cell_length_c 6.710
_cell_angle_alpha 90.00
_cell_angle_beta 90.00
_cell_angle_gamma 90.00
loop_
_atom_site_label
_atom_site_type_symbol
_atom_site_fract_x
_atom_site_fract_y
_atom_site_fract_z
Li1 Li 0.000 0.000 0.000
Sn1 Sn 0.000 0.000 0.500
Au1 Au 0.250 0.250 0.250
```

Largest 8 diffraction maxima, in order of falling intensity, 2θ = 15–90°:
2θ/deg, I/Imax
37.9, 100
68.5, 36
26.6, 33
54.7, 18
61.8, 13
81.1, 12
23.0, 12
46.9, 10

=====

Record 3
For LuAu2, DFT lattice parameters and positions (GGA-PBE) gives the computed PXRD pattern in this record (Cu Kα, 1.54184 Å).
Kinematic intensities with the Lorentz-polarization factor, no thermal factor.

Atomic structure:
```
data_LuAu2
_space_group_name_H-M_alt 'I 4/m m m'
_space_group_IT_number 139
_space_group_name_Hall '-I 4 2'
_cell_length_a 3.683
_cell_length_b 3.683
_cell_length_c 9.018
_cell_angle_alpha 90.00
_cell_angle_beta 90.00
_cell_angle_gamma 90.00
loop_
_atom_site_label
_atom_site_type_symbol
_atom_site_fract_x
_atom_site_fract_y
_atom_site_fract_z
Lu1 Lu 0.000 0.000 0.000
Au1 Au 0.000 0.000 0.337
```

Largest 8 diffraction maxima, in order of falling intensity, 2θ = 15–90°:
2θ/deg, I/Imax
38.7, 100
34.4, 68
64.5, 45
49.5, 25
72.6, 24
82.9, 23
85.4, 11
61.7, 6

=====

Record 4
For LuAu4, DFT lattice parameters and positions (GGA-PBE) gives the computed PXRD pattern in this record (Cu Kα, 1.54184 Å).
Kinematic intensities with the Lorentz-polarization factor, no thermal factor.

Atomic structure:
```
data_LuAu4
_space_group_name_H-M_alt 'I 4/m'
_space_group_IT_number 87
_space_group_name_Hall '-I 4'
_cell_length_a 6.751
_cell_length_b 6.751
_cell_length_c 4.183
_cell_angle_alpha 90.00
_cell_angle_beta 90.00
_cell_angle_gamma 90.00
loop_
_atom_site_label
_atom_site_type_symbol
_atom_site_fract_x
_atom_site_fract_y
_atom_site_fract_z
Lu1 Lu 0.000 0.000 0.000
Au1 Au 0.100 0.700 0.500
```

Largest 8 diffraction maxima, in order of falling intensity, 2θ = 15–90°:
2θ/deg, I/Imax
36.7, 100
42.3, 34
73.7, 27
62.1, 22
43.3, 16
75.0, 13
78.1, 12
61.4, 11

=====

Record 5
For LuAu3, DFT lattice parameters and positions (GGA-PBE) gives the computed PXRD pattern in this record (Cu Kα, 1.54184 Å).
Kinematic intensities with the Lorentz-polarization factor, no thermal factor.

Atomic structure:
```
data_LuAu3
_space_group_name_H-M_alt 'P m m n'
_space_group_IT_number 59
_cell_length_a 5.012
_cell_length_b 6.038
_cell_length_c 5.163
_cell_angle_alpha 90.00
_cell_angle_beta 90.00
_cell_angle_gamma 90.00
loop_
_space_group_symop_operation_xyz
'x,y,z'
'-x,-y,-z'
'-x+1/2,-y+1/2,z'
'x+1/2,y+1/2,-z'
'x+1/2,-y,-z'
'-x+1/2,y,z'
'-x,y+1/2,-z'
'x,-y+1/2,z'
loop_
_atom_site_label
_atom_site_type_symbol
_atom_site_fract_x
_atom_site_fract_y
_atom_site_fract_z
Lu1 Lu 0.250 0.250 0.154
Au1 Au 0.250 0.502 0.658
Au2 Au 0.250 0.750 0.155
```

Largest 8 diffraction maxima, in order of falling intensity, 2θ = 15–90°:
2θ/deg, I/Imax
39.0, 100
39.3, 60
35.8, 45
34.4, 31
73.8, 22
66.5, 21
50.5, 21
75.4, 18

=====

Record 6
For Lu2Au, DFT lattice parameters and positions (GGA-PBE) gives the computed PXRD pattern in this record (Cu Kα, 1.54184 Å).
Kinematic intensities with the Lorentz-polarization factor, no thermal factor.

Atomic structure:
```
data_Lu2Au
_space_group_name_H-M_alt 'P n m a'
_space_group_IT_number 62
_space_group_name_Hall '-P 2ac 2n'
_cell_length_a 7.025
_cell_length_b 4.847
_cell_length_c 8.790
_cell_angle_alpha 90.00
_cell_angle_beta 90.00
_cell_angle_gamma 90.00
loop_
_atom_site_label
_atom_site_type_symbol
_atom_site_fract_x
_atom_site_fract_y
_atom_site_fract_z
Lu1 Lu 0.019 0.250 0.179
Lu2 Lu 0.150 0.250 0.574
Au1 Au 0.245 0.250 0.896
```

Largest 8 diffraction maxima, in order of falling intensity, 2θ = 15–90°:
2θ/deg, I/Imax
33.1, 100
35.8, 59
30.3, 53
37.1, 52
31.5, 26
43.8, 17
32.6, 17
58.7, 17

=====

Record 7
For LuNi4Au, DFT lattice parameters and positions (GGA-PBE) gives the computed PXRD pattern in this record (Cu Kα, 1.54184 Å).
Kinematic intensities with the Lorentz-polarization factor, no thermal factor.

Atomic structure:
```
data_LuNi4Au
_space_group_name_H-M_alt 'F -4 3 m'
_space_group_IT_number 216
_space_group_name_Hall 'F -4 2 3'
_cell_length_a 6.918
_cell_length_b 6.918
_cell_length_c 6.918
_cell_angle_alpha 90.00
_cell_angle_beta 90.00
_cell_angle_gamma 90.00
loop_
_atom_site_label
_atom_site_type_symbol
_atom_site_fract_x
_atom_site_fract_y
_atom_site_fract_z
Lu1 Lu 0.000 0.000 0.000
Ni1 Ni 0.125 0.125 0.375
Au1 Au 0.250 0.250 0.750
```

Largest 8 diffraction maxima, in order of falling intensity, 2θ = 15–90°:
2θ/deg, I/Imax
43.4, 100
36.7, 71
70.8, 30
66.2, 26
78.2, 22
22.3, 20
45.4, 13
89.6, 12

=====

Record 8
For Lu2PdAu, DFT lattice parameters and positions (GGA-PBE) gives the computed PXRD pattern in this record (Cu Kα, 1.54184 Å).
Kinematic intensities with the Lorentz-polarization factor, no thermal factor.

Atomic structure:
```
data_Lu2PdAu
_space_group_name_H-M_alt 'F m -3 m'
_space_group_IT_number 225
_space_group_name_Hall '-F 4 2 3'
_cell_length_a 6.958
_cell_length_b 6.958
_cell_length_c 6.958
_cell_angle_alpha 90.00
_cell_angle_beta 90.00
_cell_angle_gamma 90.00
loop_
_atom_site_label
_atom_site_type_symbol
_atom_site_fract_x
_atom_site_fract_y
_atom_site_fract_z
Lu1 Lu 0.250 0.250 0.250
Pd1 Pd 0.000 0.000 0.000
Au1 Au 0.000 0.000 0.500
```

Largest 8 diffraction maxima, in order of falling intensity, 2θ = 15–90°:
2θ/deg, I/Imax
36.5, 100
65.7, 36
52.6, 18
89.0, 17
77.6, 11
22.1, 4
43.1, 2
57.8, 1

=====

Record 9
For Lu2RuAu, DFT lattice parameters and positions (GGA-PBE) gives the computed PXRD pattern in this record (Cu Kα, 1.54184 Å).
Kinematic intensities with the Lorentz-polarization factor, no thermal factor.

Atomic structure:
```
data_Lu2RuAu
_space_group_name_H-M_alt 'F m -3 m'
_space_group_IT_number 225
_space_group_name_Hall '-F 4 2 3'
_cell_length_a 6.852
_cell_length_b 6.852
_cell_length_c 6.852
_cell_angle_alpha 90.00
_cell_angle_beta 90.00
_cell_angle_gamma 90.00
loop_
_atom_site_label
_atom_site_type_symbol
_atom_site_fract_x
_atom_site_fract_y
_atom_site_fract_z
Lu1 Lu 0.250 0.250 0.250
Ru1 Ru 0.000 0.000 0.000
Au1 Au 0.000 0.000 0.500
```

Largest 8 diffraction maxima, in order of falling intensity, 2θ = 15–90°:
2θ/deg, I/Imax
37.1, 100
66.9, 36
53.5, 18
79.0, 11
22.5, 5
43.8, 3
58.7, 1
83.5, 1

=====

Record 10
For Lu6Te2Au, DFT lattice parameters and positions (GGA-PBE) gives the computed PXRD pattern in this record (Cu Kα, 1.54184 Å).
Kinematic intensities with the Lorentz-polarization factor, no thermal factor.

Atomic structure:
```
data_Lu6Te2Au
_space_group_name_H-M_alt 'P n m a'
_space_group_IT_number 62
_space_group_name_Hall '-P 2ac 2n'
_cell_length_a 21.234
_cell_length_b 4.016
_cell_length_c 11.359
_cell_angle_alpha 90.00
_cell_angle_beta 90.00
_cell_angle_gamma 90.00
loop_
_atom_site_label
_atom_site_type_symbol
_atom_site_fract_x
_atom_site_fract_y
_atom_site_fract_z
Lu1 Lu 0.007 0.250 0.111
Lu2 Lu 0.025 0.750 0.378
Lu3 Lu 0.109 0.250 0.814
Lu4 Lu 0.140 0.750 0.062
Lu5 Lu 0.158 0.250 0.530
Lu6 Lu 0.232 0.750 0.740
Te1 Te 0.126 0.250 0.268
Te2 Te 0.237 0.250 0.957
Au1 Au 0.076 0.750 0.632
```

Largest 8 diffraction maxima, in order of falling intensity, 2θ = 15–90°:
2θ/deg, I/Imax
31.7, 100
34.6, 67
32.6, 58
30.0, 54
45.1, 51
33.6, 39
34.9, 37
34.7, 35

=====

Record 11
For Lu2ZnAu, DFT lattice parameters and positions (GGA-PBE) gives the computed PXRD pattern in this record (Cu Kα, 1.54184 Å).
Kinematic intensities with the Lorentz-polarization factor, no thermal factor.

Atomic structure:
```
data_Lu2ZnAu
_space_group_name_H-M_alt 'F m -3 m'
_space_group_IT_number 225
_space_group_name_Hall '-F 4 2 3'
_cell_length_a 7.025
_cell_length_b 7.025
_cell_length_c 7.025
_cell_angle_alpha 90.00
_cell_angle_beta 90.00
_cell_angle_gamma 90.00
loop_
_atom_site_label
_atom_site_type_symbol
_atom_site_fract_x
_atom_site_fract_y
_atom_site_fract_z
Lu1 Lu 0.250 0.250 0.250
Zn1 Zn 0.000 0.000 0.000
Au1 Au 0.000 0.000 0.500
```

Largest 8 diffraction maxima, in order of falling intensity, 2θ = 15–90°:
2θ/deg, I/Imax
36.2, 100
65.0, 36
52.1, 18
87.9, 17
76.7, 11
21.9, 10
42.7, 5
57.2, 2